# 1
Computed PXRD pattern of Er5CuTe2 for Cu Ka, from a crystal structure in Alexandria, relaxed with PBE.
Lines closer than 0.1° are merged.

The 12 most intense peaks (2θ = 10–90°), in order of rising 2θ:
hkl 0 2 3, 25.49 deg, intensity 38; hkl 2 0 0, 30.53 deg, intensity 65; hkl 1 1 4, 32.99 deg, intensity 18; hkl 1 3 3, 33.90 deg, intensity 100; hkl 0 4 3, 35.76 deg, intensity 14; hkl 1 5 0, 39.17 deg, intensity 20; hkl 1 5 1, 39.84 deg, intensity 13; hkl 2 2 3, 40.18 deg, intensity 23; hkl 0 0 6, 42.92 deg, intensity 22; hkl 2 0 6, 53.60 deg, intensity 27; hkl 3 3 3, 56.44 deg, intensity 24; hkl 1 5 6, 59.50 deg, intensity 14

Cell and atoms:
Unit cell a=5.8569 b=12.5044 c=12.6413 alpha=90.00 beta=90.00 gamma=90.00
Space group Cmcm (No. 63)
Asymmetric unit:
Er 0.0000 0.0555 0.1138 [8 per cell]
Er 0.0000 0.3703 0.7500 [4 per cell]
Er 0.0000 0.3884 0.0817 [8 per cell]
Cu 0.0000 0.2298 0.2500 [4 per cell]
Te 0.0000 0.1932 0.5863 [8 per cell]



# 2
Computed PXRD pattern of V2Cr2Re3 for Cu Ka, from a crystal structure in Alexandria, relaxed with PBE.
Lines closer than 0.1° are merged.

The 12 most intense peaks (2θ = 10–90°), in order of rising 2θ:
hkl 0 6 0, 25.26 deg, intensity 38; hkl 0 0 1, 29.49 deg, intensity 26; hkl 1 1 0, 29.70 deg, intensity 38; hkl 0 6 1, 39.21 deg, intensity 58; hkl 1 7 0, 42.17 deg, intensity 100; hkl 1 1 1, 42.35 deg, intensity 97; hkl 0 8 1, 45.54 deg, intensity 40; hkl 1 7 1, 52.30 deg, intensity 24; hkl 2 0 0, 60.98 deg, intensity 17; hkl 1 13 1, 72.98 deg, intensity 18; hkl 2 6 1, 74.93 deg, intensity 17; hkl 1 7 2, 77.13 deg, intensity 33

Cell and atoms:
Unit cell a=3.0389 b=21.1521 c=3.0288 alpha=90.00 beta=90.00 gamma=90.00
Space group Cmmm (No. 65)
Asymmetric unit:
V 0.0000 0.0706 0.0000 [4 per cell]
Cr 0.0000 0.2089 0.0000 [4 per cell]
Re 0.0000 0.3557 0.5000 [4 per cell]
Re 0.0000 0.5000 0.5000 [2 per cell]



# 3
Computed PXRD pattern of In8Hg2Pb for Cu Ka, from a crystal structure in Alexandria, relaxed with PBE.
Lines closer than 0.1° are merged.

The 12 most intense peaks (2θ = 10–90°), in order of rising 2θ:
hkl 1 1 1, 25.73 deg, intensity 17; hkl 1 5 0, 28.87 deg, intensity 16; hkl 3 3 0, 31.24 deg, intensity 48; hkl 0 4 1, 32.34 deg, intensity 100; hkl 3 1 1, 36.10 deg, intensity 68; hkl 3 5 0, 38.47 deg, intensity 25; hkl 0 8 0, 44.63 deg, intensity 15; hkl 0 0 2, 48.10 deg, intensity 18; hkl 4 4 1, 48.76 deg, intensity 22; hkl 3 7 1, 53.72 deg, intensity 16; hkl 3 3 2, 58.48 deg, intensity 16; hkl 6 4 1, 64.71 deg, intensity 18

Cell and atoms:
Unit cell a=10.1216 b=16.2417 c=3.7833 alpha=90.00 beta=90.00 gamma=90.00
Space group Cmmm (No. 65)
Asymmetric unit:
In 0.0000 0.2368 0.0000 [4 per cell]
In 0.1710 0.5000 0.0000 [4 per cell]
In 0.2002 0.1451 0.5000 [8 per cell]
Hg 0.0000 0.3823 0.5000 [4 per cell]
Pb 0.0000 0.0000 0.0000 [2 per cell]



# 4
Computed PXRD pattern of TaCrMo6 for Cu Ka, from a crystal structure in Alexandria, relaxed with PBE.
Lines closer than 0.1° are merged.

The 12 most intense peaks (2θ = 10–90°), in order of rising 2θ:
hkl 1 0 0, 17.63 deg, intensity 16; hkl 1 1 1, 30.78 deg, intensity 8; hkl 2 0 0, 35.69 deg, intensity 38; hkl 2 1 0, 40.07 deg, intensity 100; hkl 2 1 1, 44.08 deg, intensity 83; hkl 3 0 0, 54.72 deg, intensity 5; hkl 2 2 2, 64.11 deg, intensity 6; hkl 3 0 2, 67.06 deg, intensity 22; hkl 3 2 1, 69.95 deg, intensity 41; hkl 4 0 0, 75.59 deg, intensity 15; hkl 4 2 0, 86.49 deg, intensity 12; hkl 4 2 1, 89.19 deg, intensity 21

Cell and atoms:
Unit cell a=5.0320 b=5.0320 c=5.0320 alpha=90.00 beta=90.00 gamma=90.00
Space group Pm-3 (No. 200)
Asymmetric unit:
Ta 0.0000 0.0000 0.0000 [1 per cell]
Cr 0.5000 0.5000 0.5000 [1 per cell]
Mo 0.0000 0.2539 0.5000 [6 per cell]